Diffraction record for Zr2ScAl3NiAg2. The powder X-ray diffraction pattern is theoretical, not measured: it uses a DFT-relaxed cell (PBE, OQMD) and Cu Kα X-rays.
Neutral-atom scattering factors, no anomalous dispersion.

Structural model:
```
data_Zr2ScAl3NiAg2
_chemical_formula_sum 'Zr4 Sc2 Al6 Ni2 Ag4'
_cell_length_a 4.0437
_cell_length_b 11.6452
_cell_length_c 6.8984
_cell_angle_alpha 90.00
_cell_angle_beta 90.00
_cell_angle_gamma 90.00
_symmetry_space_group_name_H-M 'A m m 2'
_symmetry_Int_Tables_number 38
loop_
_symmetry_equiv_pos_as_xyz
'x,y,z'
'-x,-y,z'
'-x,y,z'
'x,-y,z'
'x,y+1/2,z+1/2'
'-x,-y+1/2,z+1/2'
'-x,y+1/2,z+1/2'
'x,-y+1/2,z+1/2'
loop_
_atom_site_label
_atom_site_type_symbol
_atom_site_fract_x
_atom_site_fract_y
_atom_site_fract_z
Zr1 Zr 0.0000 0.1970 0.0000
Sc1 Sc 0.0000 0.0000 0.5872
Al1 Al 0.5000 0.0000 0.9687
Al2 Al 0.5000 0.1193 0.3124
Ni1 Ni 0.0000 0.0000 0.1996
Ag1 Ag 0.5000 0.1623 0.6957
```

Top 10 peaks for 2θ from 5° to 70°, by intensity:
2theta  I (rel.)
34.57  100
37.60  80
34.17  59
26.35  49
45.87  44
44.83  42
46.86  39
38.09  37
26.68  37
66.07  28